The following is a calculated XRD peak list of RbCeNb2O7. It was derived from a structure optimized by DFT (PBE), using a wavelength of 1.5418 Å.
Neutral-atom scattering factors, no anomalous dispersion.

Structure:
Cell lengths 3.9178, 3.9178, 11.3121 Å; angles 90.00, 90.00, 90.00 degrees
Fractional coordinates of all 11 atoms:
Rb (0.0000, 0.0000, 0.0000)
Ce (0.0000, 0.0000, 0.5000)
Nb (0.5000, 0.5000, 0.2991)
Nb (0.5000, 0.5000, 0.7009)
O (0.0000, 0.5000, 0.3408)
O (0.0000, 0.5000, 0.6592)
O (0.5000, 0.0000, 0.3408)
O (0.5000, 0.0000, 0.6592)
O (0.5000, 0.5000, 0.1390)
O (0.5000, 0.5000, 0.5000)
O (0.5000, 0.5000, 0.8610)

Most intense lines, 5 to 70 degrees two-theta, by angle:
d = 11.312 Å, 7.8°, I 66.9, (0 0 1); d = 3.221 Å, 27.7°, I 100.0, (1 0 2); d = 2.770 Å, 32.3°, I 38.8, (1 1 0); d = 2.717 Å, 33.0°, I 11.6, (1 0 3); d = 2.293 Å, 39.3°, I 8.8, (1 0 4); d = 1.979 Å, 45.9°, I 18.0, (1 1 4); d = 1.959 Å, 46.3°, I 28.5, (2 0 0); d = 1.752 Å, 52.2°, I 7.8, (1 1 5); d = 1.674 Å, 54.9°, I 29.2, (2 1 2); d = 1.385 Å, 67.6°, I 9.8, (2 2 0)